1.
# Na4BrO2
Calculated X-ray diffraction stick pattern, Cu Ka. Input: the PBE geometry in Alexandria.
Lines closer than 0.1° are merged.

The 12 most intense peaks (2θ = 10–90°), low angle first:
Position (°2θ)	I_rel
23.07	100
24.38	69
25.12	62
26.81	37
28.17	54
30.31	82
36.19	47
41.98	64
44.71	49
47.16	36
49.96	34
51.56	43

Structural model:
abc: 7.7271 7.4025 7.1230
angles: 64.24 59.63 56.12
Sites, in units of the cell vectors:
Na: 0.1786 0.7441 0.7694
Na: 0.1921 0.2306 0.2559
Na: 0.2306 0.1921 0.8214
Na: 0.2559 0.8214 0.1921
Na: 0.7441 0.1786 0.8079
Na: 0.7694 0.8079 0.1786
Na: 0.8079 0.7694 0.7441
Na: 0.8214 0.2559 0.2306
Br: 0.3750 0.3750 0.3750
Br: 0.6250 0.6250 0.6250
O: 0.0000 0.0000 0.0000
O: 0.0000 0.0000 0.5000
O: 0.0000 0.5000 0.0000
O: 0.5000 0.0000 0.0000

=====

2.
# Cs5Te4
Calculated X-ray diffraction stick pattern, Cu Ka. Input: the PBE geometry in Alexandria.
Lines closer than 0.1° are merged.

The 12 most intense peaks (2θ = 10–90°), low angle first:
Position (°2θ)	I_rel
19.29	47
24.21	57
25.36	75
25.61	51
26.27	55
28.95	100
29.69	98
30.26	68
30.46	48
35.20	38
51.56	34
53.06	32

Structural model:
abc: 7.0824 7.0824 12.9980
angles: 110.86 110.86 50.28
Sites, in units of the cell vectors:
Cs: 0.0000 0.0000 0.0000
Cs: 0.2003 0.2003 0.3738
Cs: 0.3836 0.3836 0.1818
Cs: 0.6164 0.6164 0.8182
Cs: 0.7997 0.7997 0.6262
Te: 0.1014 0.1014 0.6217
Te: 0.3260 0.3260 0.8451
Te: 0.6740 0.6740 0.1549
Te: 0.8986 0.8986 0.3783

=====

3.
# AcPm3Pr8
Calculated X-ray diffraction stick pattern, Cu Ka. Input: the PBE geometry in Alexandria.
Lines closer than 0.1° are merged.

The 12 most intense peaks (2θ = 10–90°), low angle first:
Position (°2θ)	I_rel
15.23	19
21.36	20
30.02	44
30.35	100
30.71	50
34.32	36
43.50	16
49.45	19
53.51	15
54.13	14
56.10	13
63.14	17

Structural model:
abc: 9.0216 9.0216 9.0216
angles: 136.51 98.37 97.41
Sites, in units of the cell vectors:
Ac: 0.0000 0.0000 0.0000
Pm: 0.2718 0.7718 0.5000
Pm: 0.5000 0.5000 0.0000
Pm: 0.7282 0.2282 0.5000
Pr: 0.0803 0.2537 0.8266
Pr: 0.2718 0.2320 0.5037
Pr: 0.2718 0.7680 0.0398
Pr: 0.4271 0.2537 0.1734
Pr: 0.5729 0.7463 0.8266
Pr: 0.7282 0.2320 0.9602
Pr: 0.7282 0.7680 0.4963
Pr: 0.9197 0.7463 0.1734